The following is a simulated powder XRD pattern of Ca2Mg5Ag5. It was derived from the PBE geometry in Alexandria, using CuKα.
Lines closer than 0.1° are merged.

Peak list (8 most intense, 2θ from 15° to 90°, low angle first)
two_theta  I_rel
17.5  51
19.1  25
30.5  30
30.8  28
36.2  28
36.5  100
38.8  28
40.6  26

Structure:
a = 4.638 Å, b = 5.864 Å, c = 10.009 Å
α = 90.00°, β = 90.00°, γ = 90.00°
Fractional coordinates of all 12 atoms:
Ca: 0.000 0.000 0.000
Ca: 0.000 0.500 0.500
Mg: 0.500 0.000 0.500
Mg: 0.500 0.250 0.240
Mg: 0.500 0.250 0.760
Mg: 0.500 0.750 0.240
Mg: 0.500 0.750 0.760
Ag: 0.000 0.000 0.331
Ag: 0.000 0.000 0.669
Ag: 0.000 0.500 0.170
Ag: 0.000 0.500 0.830
Ag: 0.500 0.500 0.000

---

The following is a simulated powder XRD pattern of Ca3Mg5Ag. It was derived from the PBE geometry in Alexandria, using CuKα.
Lines closer than 0.1° are merged.

Peak list (8 most intense, 2θ from 15° to 90°, low angle first)
two_theta  I_rel
22.2  25
23.4  27
25.7  30
29.7  45
32.5  100
39.0  32
39.7  55
61.8  34

Structure:
a = 8.001 Å, b = 8.001 Å, c = 4.553 Å
α = 90.00°, β = 90.00°, γ = 120.00°
Fractional coordinates of all 9 atoms:
Ca: 0.000 0.400 0.000
Ca: 0.400 0.000 0.000
Ca: 0.600 0.600 0.000
Mg: 0.000 0.769 0.500
Mg: 0.231 0.231 0.500
Mg: 0.333 0.667 0.500
Mg: 0.667 0.333 0.500
Mg: 0.769 0.000 0.500
Ag: 0.000 0.000 0.000

---

The following is a simulated powder XRD pattern of CaMgAg2. It was derived from the PBE geometry in Alexandria, using CuKα.
Lines closer than 0.1° are merged.

Peak list (8 most intense, 2θ from 15° to 90°, low angle first)
two_theta  I_rel
25.0  82
26.1  100
32.9  63
39.3  82
43.0  30
43.3  69
59.9  22
76.8  21

Structure:
a = 7.314 Å, b = 7.314 Å, c = 7.314 Å
α = 33.18°, β = 33.18°, γ = 33.18°
Fractional coordinates of all 4 atoms:
Ca: 0.000 0.000 0.000
Mg: 0.174 0.174 0.174
Ag: 0.434 0.434 0.434
Ag: 0.573 0.573 0.573

---

The following is a simulated powder XRD pattern of Sr2CaMg12Ag3. It was derived from the PBE geometry in Alexandria, using CuKα.
Lines closer than 0.1° are merged.

Peak list (8 most intense, 2θ from 15° to 90°, low angle first)
two_theta  I_rel
22.9  100
23.9  35
30.3  28
31.0  23
36.2  42
39.5  44
41.4  22
46.1  20

Structure:
a = 9.102 Å, b = 9.102 Å, c = 9.102 Å
α = 60.16°, β = 60.16°, γ = 60.16°
Fractional coordinates of all 18 atoms:
Sr: 0.085 0.085 0.085
Sr: 0.915 0.915 0.915
Ca: 0.500 0.500 0.500
Mg: 0.039 0.664 0.664
Mg: 0.253 0.253 0.639
Mg: 0.253 0.639 0.253
Mg: 0.336 0.336 0.961
Mg: 0.336 0.961 0.336
Mg: 0.361 0.747 0.747
Mg: 0.639 0.253 0.253
Mg: 0.664 0.039 0.664
Mg: 0.664 0.664 0.039
Mg: 0.747 0.361 0.747
Mg: 0.747 0.747 0.361
Mg: 0.961 0.336 0.336
Ag: 0.000 0.500 0.500
Ag: 0.500 0.000 0.500
Ag: 0.500 0.500 0.000

---

The following is a simulated powder XRD pattern of CaMg2Tl2Ag2. It was derived from the PBE geometry in Alexandria, using CuKα.
Lines closer than 0.1° are merged.

Peak list (8 most intense, 2θ from 15° to 90°, low angle first)
two_theta  I_rel
21.3  45
21.4  67
27.7  78
35.9  28
36.8  100
43.0  74
45.5  20
46.7  19

Structure:
a = 8.752 Å, b = 8.752 Å, c = 8.752 Å
α = 32.38°, β = 32.38°, γ = 32.38°
Fractional coordinates of all 7 atoms:
Ca: 0.000 0.000 0.000
Mg: 0.134 0.134 0.134
Mg: 0.866 0.866 0.866
Tl: 0.403 0.403 0.403
Tl: 0.597 0.597 0.597
Ag: 0.247 0.247 0.247
Ag: 0.753 0.753 0.753

---

The following is a simulated powder XRD pattern of CaMgZnAg3. It was derived from the PBE geometry in Alexandria, using CuKα.
Lines closer than 0.1° are merged.

Peak list (8 most intense, 2θ from 15° to 90°, low angle first)
two_theta  I_rel
21.0  54
29.3  83
33.5  78
37.8  72
39.7  43
40.5  100
41.2  71
59.0  35

Structure:
a = 7.436 Å, b = 7.436 Å, c = 5.856 Å
α = 90.00°, β = 90.00°, γ = 124.91°
Fractional coordinates of all 12 atoms:
Ca: 0.194 0.806 0.750
Ca: 0.806 0.194 0.250
Mg: 0.430 0.570 0.750
Mg: 0.570 0.430 0.250
Zn: 0.146 0.854 0.250
Zn: 0.854 0.146 0.750
Ag: 0.201 0.201 0.000
Ag: 0.201 0.201 0.500
Ag: 0.349 0.651 0.250
Ag: 0.651 0.349 0.750
Ag: 0.799 0.799 0.000
Ag: 0.799 0.799 0.500